1.
The following is a simulated powder X-ray diffraction pattern of Y2Er3Tm3. It was derived from a cell relaxed with GGA-PBE, using a wavelength of 1.5418 Å.
Kinematic intensities with the Lorentz-polarization factor, no thermal factor.

Main lines, sorted by position (2θ from 10° to 90°):
(1 1 1), d = 3.593 Å, rel. 6
(2 0 -2), d = 2.998 Å, rel. 24
(0 2 0), d = 2.836 Å, rel. 30
(3 1 1), d = 2.740 Å, rel. 100
(1 1 -2), d = 2.609 Å, rel. 14
(2 2 -2), d = 2.060 Å, rel. 16
(8 0 0), d = 1.834 Å, rel. 8
(1 1 3), d = 1.677 Å, rel. 10
(3 3 1), d = 1.618 Å, rel. 21
(8 2 0), d = 1.540 Å, rel. 9

Structure:
abc: 15.840 5.673 5.997
angles: 90.00 112.13 90.00
Space group C2/m (No. 12)
Asymmetric unit:
Y  0.250  0.000  0.186 [4 per cell]
Er  0.000  0.500  0.500 [2 per cell]
Er  0.129  0.500  0.186 [4 per cell]
Tm  0.000  0.000  0.000 [2 per cell]
Tm  0.129  0.000  0.573 [4 per cell]


2.
The following is a simulated powder X-ray diffraction pattern of Y7Er3Tm. It was derived from a cell relaxed with GGA-PBE, using a wavelength of 1.5418 Å.
Kinematic intensities with the Lorentz-polarization factor, no thermal factor.

Main lines, sorted by position (2θ from 10° to 90°):
(0 1 1), d = 4.749 Å, rel. 19
(0 0 2), d = 4.672 Å, rel. 20
(1 1 -3), d = 2.820 Å, rel. 14
(2 1 0), d = 2.796 Å, rel. 100
(2 0 1), d = 2.788 Å, rel. 18
(2 0 -3), d = 2.773 Å, rel. 18
(0 2 0), d = 2.757 Å, rel. 42
(0 1 3), d = 2.712 Å, rel. 51
(2 2 1), d = 1.960 Å, rel. 13
(0 3 3), d = 1.583 Å, rel. 15

Structure:
abc: 6.920 5.514 9.946
angles: 90.00 110.03 90.00
Space group P2/m (No. 10)
Asymmetric unit:
Y  0.000  0.000  0.000 [1 per cell]
Y  0.146  0.500  0.290 [2 per cell]
Y  0.319  0.500  0.638 [2 per cell]
Y  0.418  0.000  0.830 [2 per cell]
Er  0.000  0.000  0.500 [1 per cell]
Er  0.278  0.500  0.999 [2 per cell]
Tm  0.500  0.000  0.500 [1 per cell]


3.
The following is a simulated powder X-ray diffraction pattern of YEr10Tm4. It was derived from a cell relaxed with GGA-PBE, using a wavelength of 1.5418 Å.
Kinematic intensities with the Lorentz-polarization factor, no thermal factor.

Main lines, sorted by position (2θ from 10° to 90°):
(2 1 1), d = 4.383 Å, rel. 23
(1 3 0), d = 3.796 Å, rel. 17
(4 2 0), d = 2.684 Å, rel. 100
(5 0 1), d = 2.289 Å, rel. 13
(2 6 0), d = 1.898 Å, rel. 18
(6 3 1), d = 1.742 Å, rel. 6
(7 1 0), d = 1.698 Å, rel. 7
(7 1 2), d = 1.550 Å, rel. 38
(8 4 0), d = 1.342 Å, rel. 12
(10 0 0), d = 1.200 Å, rel. 16

Structure:
abc: 12.007 12.007 7.589
angles: 90.00 90.00 90.00
Space group I4/m (No. 87)
Asymmetric unit:
Y  0.000  0.000  0.000 [2 per cell]
Er  0.000  0.500  0.250 [4 per cell]
Er  0.100  0.799  0.252 [16 per cell]
Tm  0.100  0.300  0.500 [8 per cell]